[1]
# RbCr2BiO8
Simulated PXRD pattern, CuKα. Input: DFT lattice parameters and positions (PBE+U).

Main lines, sorted by position (2θ from 10° to 90°):
| Position (°2θ) | I/Imax |
| --- | --- |
| 13.16 | 97 |
| 21.77 | 58 |
| 22.09 | 100 |
| 26.65 | 53 |
| 30.37 | 89 |
| 31.06 | 36 |
| 33.22 | 32 |
| 38.23 | 30 |
| 40.74 | 41 |
| 44.24 | 31 |

Cell and atoms:
```
data_RbCr2BiO8
_cell_length_a 10.2744
_cell_length_b 13.4505
_cell_length_c 5.7584
_cell_angle_alpha 90.00
_cell_angle_beta 90.00
_cell_angle_gamma 90.00
_symmetry_space_group_name_H-M 'P n n a'
_symmetry_Int_Tables_number 52
_symmetry_space_group_name_Hall '-P 2a 2bc'
loop_
_atom_site_label
_atom_site_fract_x
_atom_site_fract_y
_atom_site_fract_z
_atom_site_occupancy
Rb1 0.0809 0.2500 0.2500 1
Cr1 0.0857 0.5815 0.2359 1
Bi1 0.2500 0.0000 0.7951 1
O1 0.0737 0.1087 0.7105 1
O2 0.1027 0.0346 0.1847 1
O3 0.1543 0.6480 0.4449 1
O4 0.1608 0.5999 0.9753 1
```



[2]
# ScCr2BiO6
Simulated PXRD pattern, CuKα. Input: DFT lattice parameters and positions (PBE+U).

Main lines, sorted by position (2θ from 10° to 90°):
| Position (°2θ) | I/Imax |
| --- | --- |
| 19.15 | 27 |
| 19.96 | 73 |
| 22.85 | 47 |
| 32.03 | 100 |
| 33.04 | 90 |
| 38.46 | 39 |
| 46.68 | 47 |
| 51.91 | 42 |
| 58.37 | 40 |
| 59.01 | 27 |

Cell and atoms:
```
data_ScCr2BiO6
_cell_length_a 5.4226
_cell_length_b 5.4226
_cell_length_c 13.9073
_cell_angle_alpha 90.00
_cell_angle_beta 90.00
_cell_angle_gamma 120.00
_symmetry_space_group_name_H-M 'R 3'
_symmetry_Int_Tables_number 146
_symmetry_space_group_name_Hall 'R 3'
loop_
_atom_site_label
_atom_site_fract_x
_atom_site_fract_y
_atom_site_fract_z
_atom_site_occupancy
Sc1 0.0000 0.0000 0.0000 1
Cr1 0.0000 0.0000 0.2105 1
Cr2 0.0000 0.0000 0.7067 1
Bi1 0.0000 0.0000 0.4852 1
O1 0.0476 0.6997 0.2828 1
O2 0.0941 0.3563 0.7787 1
```



[3]
# CrTcBi2O8
Simulated PXRD pattern, CuKα. Input: DFT lattice parameters and positions (PBE+U).

Main lines, sorted by position (2θ from 10° to 90°):
| Position (°2θ) | I/Imax |
| --- | --- |
| 17.76 | 40 |
| 25.07 | 63 |
| 25.36 | 56 |
| 32.63 | 100 |
| 35.96 | 31 |
| 37.50 | 19 |
| 45.64 | 12 |
| 49.18 | 44 |
| 49.51 | 37 |
| 62.48 | 21 |

Cell and atoms:
```
data_CrTcBi2O8
_cell_length_a 4.9909
_cell_length_b 6.5679
_cell_length_c 4.9986
_cell_angle_alpha 90.00
_cell_angle_beta 90.65
_cell_angle_gamma 90.00
_symmetry_space_group_name_H-M 'P 1 2/m 1'
_symmetry_Int_Tables_number 10
_symmetry_space_group_name_Hall '-P 2y'
loop_
_atom_site_label
_atom_site_fract_x
_atom_site_fract_y
_atom_site_fract_z
_atom_site_occupancy
Cr1 0.0000 0.0000 0.0000 1
Tc1 0.0000 0.5000 0.0000 1
Bi1 0.5000 0.2454 0.5000 1
O1 0.1761 0.2640 0.8281 1
O2 0.2636 0.5000 0.2694 1
O3 0.2841 0.0000 0.2871 1
```



[4]
# Cr2TcBiO8
Simulated PXRD pattern, CuKα. Input: DFT lattice parameters and positions (PBE+U).

Main lines, sorted by position (2θ from 10° to 90°):
| Position (°2θ) | I/Imax |
| --- | --- |
| 18.92 | 56 |
| 23.49 | 16 |
| 26.82 | 62 |
| 26.94 | 63 |
| 33.83 | 100 |
| 38.38 | 26 |
| 39.01 | 27 |
| 52.01 | 40 |
| 52.15 | 42 |
| 66.52 | 24 |

Cell and atoms:
```
data_Cr2TcBiO8
_cell_length_a 6.6190
_cell_length_b 6.6484
_cell_length_c 6.4215
_cell_angle_alpha 90.00
_cell_angle_beta 90.00
_cell_angle_gamma 90.00
_symmetry_space_group_name_H-M 'C m m m'
_symmetry_Int_Tables_number 65
_symmetry_space_group_name_Hall '-C 2 2'
loop_
_atom_site_label
_atom_site_fract_x
_atom_site_fract_y
_atom_site_fract_z
_atom_site_occupancy
Cr1 0.0000 0.0000 0.2449 1
Tc1 0.0000 0.5000 0.0000 1
Bi1 0.0000 0.5000 0.5000 1
O1 0.0000 0.3015 0.2215 1
O2 0.1750 0.0000 0.5000 1
O3 0.2069 0.0000 0.0000 1
```



[5]
# TiCr2BiO6
Simulated PXRD pattern, CuKα. Input: DFT lattice parameters and positions (PBE+U).

Main lines, sorted by position (2θ from 10° to 90°):
| Position (°2θ) | I/Imax |
| --- | --- |
| 17.80 | 42 |
| 20.08 | 74 |
| 20.38 | 38 |
| 23.07 | 36 |
| 23.18 | 36 |
| 30.23 | 68 |
| 30.44 | 65 |
| 31.75 | 54 |
| 33.53 | 100 |
| 34.08 | 45 |

Cell and atoms:
```
data_TiCr2BiO6
_cell_length_a 5.2611
_cell_length_b 5.3526
_cell_length_c 5.6953
_cell_angle_alpha 64.87
_cell_angle_beta 89.69
_cell_angle_gamma 60.67
_symmetry_space_group_name_H-M 'P 1'
_symmetry_Int_Tables_number 1
_symmetry_space_group_name_Hall 'P 1'
loop_
_atom_site_label
_atom_site_fract_x
_atom_site_fract_y
_atom_site_fract_z
_atom_site_occupancy
Ti1 0.0000 0.0000 0.0000 1
Cr1 0.1934 0.5876 0.6122 1
Cr2 0.6949 0.6043 0.0790 1
Bi1 0.4701 0.0453 0.4470 1
O1 0.0438 0.5433 0.2945 1
O2 0.2930 0.7787 0.8303 1
O3 0.3989 0.7519 0.2924 1
O4 0.6507 0.0509 0.8436 1
O5 0.8191 0.1390 0.2708 1
O6 0.9408 0.4278 0.8395 1
```



[6]
# ZnCrBiO5
Simulated PXRD pattern, CuKα. Input: DFT lattice parameters and positions (PBE+U).

Main lines, sorted by position (2θ from 10° to 90°):
| Position (°2θ) | I/Imax |
| --- | --- |
| 14.12 | 33 |
| 18.01 | 36 |
| 19.31 | 27 |
| 24.78 | 78 |
| 29.68 | 100 |
| 30.55 | 31 |
| 33.01 | 43 |
| 34.34 | 42 |
| 35.66 | 25 |
| 51.87 | 24 |

Cell and atoms:
```
data_ZnCrBiO5
_cell_length_a 5.3709
_cell_length_b 11.7053
_cell_length_c 8.0970
_cell_angle_alpha 90.00
_cell_angle_beta 113.50
_cell_angle_gamma 90.00
_symmetry_space_group_name_H-M 'P 1 21/c 1'
_symmetry_Int_Tables_number 14
_symmetry_space_group_name_Hall '-P 2ybc'
loop_
_atom_site_label
_atom_site_fract_x
_atom_site_fract_y
_atom_site_fract_z
_atom_site_occupancy
Zn1 0.0551 0.0828 0.1693 1
Cr1 0.3149 0.6448 0.0319 1
Bi1 0.4354 0.1040 0.8283 1
O1 0.1918 0.5754 0.1675 1
O2 0.2018 0.7116 0.4908 1
O3 0.2580 0.0244 0.0128 1
O4 0.2739 0.5772 0.8353 1
O5 0.3440 0.1814 0.3459 1
```